No. 1
Starting from a structure optimized by DFT (PBE), the powder X-ray diffraction pattern of Nd4Dy5Ho was simulated for a wavelength of 1.5418 Å.
Neutral-atom scattering factors, no anomalous dispersion.

Cell and atoms:
```
Nd4Dy5Ho
1.0
-5.340 5.340 2.991
5.340 -5.340 2.991
5.340 5.340 -2.991
Nd Dy Ho
4 5 1
direct
0.000 0.323 0.323 Nd
0.000 0.677 0.677 Nd
0.323 0.000 0.323 Nd
0.677 0.000 0.677 Nd
0.308 0.308 0.623 Dy
0.308 0.685 0.000 Dy
0.685 0.308 0.000 Dy
0.685 0.685 0.377 Dy
0.759 0.759 0.000 Dy
0.234 0.234 0.000 Ho
```

Main lines, in order of falling intensity (2θ = 10–80°):
- 3.060 Å, rel. 100.0
- 2.518 Å, rel. 42.8
- 2.610 Å, rel. 20.4
- 1.539 Å, rel. 17.7
- 1.740 Å, rel. 16.3
- 2.991 Å, rel. 13.6
- 2.781 Å, rel. 13.0
- 1.780 Å, rel. 12.9
- 1.562 Å, rel. 12.5
- 1.926 Å, rel. 11.8
- 1.866 Å, rel. 11.8
- 1.286 Å, rel. 10.1


No. 2
Starting from a structure optimized by DFT (PBE), the powder X-ray diffraction pattern of Nd16Dy7Ho6 was simulated for a wavelength of 1.5418 Å.
Neutral-atom scattering factors, no anomalous dispersion.

Cell and atoms:
```
Nd16Dy7Ho6
1.0
0.000 7.996 7.996
7.996 0.000 7.996
7.996 7.996 0.000
Nd Dy Ho
16 7 6
direct
0.052 0.649 0.649 Nd
0.125 0.125 0.125 Nd
0.125 0.125 0.625 Nd
0.125 0.625 0.125 Nd
0.351 0.351 0.351 Nd
0.351 0.351 0.948 Nd
0.351 0.948 0.351 Nd
0.375 0.875 0.875 Nd
0.625 0.125 0.125 Nd
0.649 0.052 0.649 Nd
0.649 0.649 0.052 Nd
0.649 0.649 0.649 Nd
0.875 0.375 0.875 Nd
0.875 0.875 0.375 Nd
0.875 0.875 0.875 Nd
0.948 0.351 0.351 Nd
0.000 0.000 0.000 Dy
0.000 0.000 0.500 Dy
0.000 0.500 0.000 Dy
0.000 0.500 0.500 Dy
0.500 0.000 0.000 Dy
0.500 0.000 0.500 Dy
0.500 0.500 0.000 Dy
0.265 0.265 0.735 Ho
0.265 0.735 0.265 Ho
0.265 0.735 0.735 Ho
0.735 0.265 0.265 Ho
0.735 0.265 0.735 Ho
0.735 0.735 0.265 Ho
```

Main lines, in order of falling intensity (2θ = 10–80°):
- 2.827 Å, rel. 100.0
- 1.632 Å, rel. 28.2
- 1.999 Å, rel. 14.8
- 3.078 Å, rel. 8.6
- 1.264 Å, rel. 8.3
- 1.413 Å, rel. 7.9
- 3.264 Å, rel. 6.2
- 2.082 Å, rel. 5.4
- 1.546 Å, rel. 5.2
- 2.703 Å, rel. 4.8
- 5.654 Å, rel. 4.7
- 2.529 Å, rel. 4.6


No. 3
Starting from a structure optimized by DFT (PBE), the powder X-ray diffraction pattern of NdDy4Ho7 was simulated for a wavelength of 1.5418 Å.
Neutral-atom scattering factors, no anomalous dispersion.

Cell and atoms:
```
NdDy4Ho7
1.0
6.187 0.000 0.000
0.013 7.149 0.000
2.090 -0.001 8.551
Nd Dy Ho
1 4 7
direct
0.000 0.000 0.000 Nd
0.221 0.500 0.334 Dy
0.279 0.250 0.665 Dy
0.721 0.750 0.335 Dy
0.779 0.500 0.666 Dy
0.000 0.500 0.000 Ho
0.222 0.000 0.334 Ho
0.279 0.749 0.665 Ho
0.500 0.250 0.000 Ho
0.500 0.750 0.000 Ho
0.721 0.251 0.335 Ho
0.778 0.000 0.666 Ho
```

Main lines, in order of falling intensity (2θ = 10–80°):
- 2.787 Å, rel. 100.0
- 2.652 Å, rel. 59.3
- 2.850 Å, rel. 50.3
- 1.787 Å, rel. 38.8
- 3.072 Å, rel. 36.8
- 1.515 Å, rel. 30.2
- 2.645 Å, rel. 29.9
- 3.008 Å, rel. 15.8
- 1.512 Å, rel. 15.0
- 1.663 Å, rel. 14.0
- 1.578 Å, rel. 12.7
- 1.505 Å, rel. 10.5